# 1
Starting from the GGA-PBE geometry in Alexandria, the powder X-ray diffraction pattern of Y4Hf6O19 was simulated for Cu Kα, 1.54184 Å.

Structural model:
abc: 9.349 9.349 9.349
angles: 90.00 90.00 90.00
Space group I23 (No. 197)
Asymmetric unit:
Y  0.146  0.146  0.854
Hf  0.000  0.329  0.500
O  0.000  0.000  0.000
O  0.000  0.000  0.355
O  0.048  0.313  0.716

Principal peaks in the range 2θ from 10° to 80°, most intense first:
(3 1 0), 2θ 30.23, d 2.956, I 100
(3 2 1), 2θ 35.94, d 2.499, I 76
(4 1 3), 2θ 49.73, d 1.833, I 48
(1 1 0), 2θ 13.39, d 6.611, I 38
(2 1 1), 2θ 23.31, d 3.817, I 31
(2 0 0), 2θ 18.99, d 4.674, I 30
(6 0 0), 2θ 59.31, d 1.558, I 25
(5 3 2), 2θ 61.11, d 1.517, I 23
(4 2 2), 2θ 47.65, d 1.908, I 21
(2 2 2), 2θ 33.20, d 2.699, I 19

***

# 2
Starting from the GGA-PBE geometry in Alexandria, the powder X-ray diffraction pattern of HfZn2O4 was simulated for Cu Kα, 1.54184 Å.

Structural model:
abc: 11.251 3.271 5.247
angles: 90.00 106.99 90.00
Space group C2/m (No. 12)
Asymmetric unit:
Hf  0.000  0.000  0.000
Zn  0.164  0.500  0.588
O  0.080  0.500  0.859
O  0.146  0.000  0.359

Principal peaks in the range 2θ from 10° to 80°, most intense first:
(1 1 -1), 2θ 32.40, d 2.763, I 100
(2 0 1), 2θ 27.63, d 3.229, I 80
(3 1 0), 2θ 37.20, d 2.417, I 61
(2 0 -1), 2θ 20.37, d 4.360, I 59
(4 0 -1), 2θ 32.86, d 2.726, I 40
(2 0 0), 2θ 16.48, d 5.380, I 38
(1 1 -3), 2θ 60.49, d 1.531, I 27
(3 1 -2), 2θ 46.77, d 1.942, I 25
(1 1 2), 2θ 48.39, d 1.881, I 24
(5 1 -2), 2θ 55.10, d 1.667, I 22

***

# 3
Starting from the GGA-PBE geometry in Alexandria, the powder X-ray diffraction pattern of Hf6ZnO was simulated for Cu Kα, 1.54184 Å.

Structural model:
abc: 6.427 8.990 5.541
angles: 90.00 103.74 90.00
Space group C2/m (No. 12)
Asymmetric unit:
Hf  0.127  0.186  0.271
Hf  0.224  0.500  0.157
Zn  0.000  0.500  0.500
O  0.000  0.000  0.000

Principal peaks in the range 2θ from 10° to 80°, most intense first:
(1 3 1), 2θ 38.80, d 2.321, I 100
(2 0 1), 2θ 36.55, d 2.459, I 82
(1 3 -1), 2θ 35.62, d 2.521, I 67
(1 3 0), 2θ 33.16, d 2.702, I 66
(2 2 -1), 2θ 35.73, d 2.513, I 66
(1 1 -2), 2θ 34.48, d 2.601, I 63
(0 0 2), 2θ 33.29, d 2.691, I 52
(0 6 0), 2θ 61.90, d 1.499, I 43
(2 0 -1), 2θ 29.47, d 3.031, I 42
(3 1 -1), 2θ 43.93, d 2.061, I 39

***

# 4
Starting from the GGA-PBE geometry in Alexandria, the powder X-ray diffraction pattern of HfZn6O6 was simulated for Cu Kα, 1.54184 Å.

Structural model:
abc: 5.763 5.763 5.763
angles: 90.00 90.00 90.00
Space group Pm-3 (No. 200)
Asymmetric unit:
Hf  0.000  0.000  0.000
Zn  0.000  0.252  0.500
O  0.000  0.500  0.250

Principal peaks in the range 2θ from 10° to 80°, most intense first:
(2 1 1), 2θ 38.26, d 2.353, I 100
(2 1 0), 2θ 34.81, d 2.577, I 82
(1 0 0), 2θ 15.38, d 5.763, I 57
(3 2 1), 2θ 60.07, d 1.540, I 51
(2 0 0), 2θ 31.04, d 2.881, I 44
(1 1 1), 2θ 26.80, d 3.327, I 23
(3 0 2), 2θ 57.68, d 1.598, I 20
(4 0 0), 2θ 64.70, d 1.441, I 19
(4 2 1), 2θ 75.62, d 1.258, I 18
(3 0 0), 2θ 47.32, d 1.921, I 17

***

# 5
Starting from the GGA-PBE geometry in Alexandria, the powder X-ray diffraction pattern of HfZrO2 was simulated for Cu Kα, 1.54184 Å.

Structural model:
abc: 3.4691 3.4691 17.3235
angles: 90.00 90.00 120.00
Space group R-3m (No. 166, hexagonal axes)
Asymmetric unit:
Hf  0.0000  0.0000  0.0000
Zr  0.0000  0.0000  0.5000
O  0.0000  0.0000  0.3773

Principal peaks in the range 2θ from 10° to 80°, most intense first:
(0 1 2), 2θ 31.52, d 2.838, I 100
(1 0 4), 2θ 36.40, d 2.469, I 52
(0 0 6), 2θ 30.97, d 2.887, I 34
(0 1 8), 2θ 52.06, d 1.757, I 29
(1 1 0), 2θ 52.78, d 1.735, I 28
(0 0 3), 2θ 15.34, d 5.774, I 28
(1 1 6), 2θ 62.46, d 1.487, I 27
(1 0 10), 2θ 61.82, d 1.501, I 15
(2 0 2), 2θ 62.78, d 1.480, I 14
(0 2 4), 2θ 65.80, d 1.419, I 10

***

# 6
Starting from the GGA-PBE geometry in Alexandria, the powder X-ray diffraction pattern of HfZrO4 was simulated for Cu Kα, 1.54184 Å.

Structural model:
abc: 12.772 7.235 7.235
angles: 90.00 124.47 90.00
Space group Cm (No. 8)
Asymmetric unit:
Hf  0.000  0.000  0.000
Hf  0.000  0.000  0.499
Hf  0.250  0.251  0.499
Zr  0.248  0.251  0.997
Zr  0.498  0.000  0.497
Zr  0.498  0.000  0.998
O  0.095  0.000  0.345
O  0.095  0.000  0.844
O  0.098  0.500  0.847
O  0.099  0.500  0.348
O  0.152  0.247  0.153
O  0.152  0.247  0.648
O  0.345  0.000  0.595
O  0.345  0.500  0.596
O  0.348  0.000  0.098
O  0.349  0.500  0.099
O  0.402  0.252  0.899
O  0.402  0.253  0.405

Principal peaks in the range 2θ from 10° to 80°, most intense first:
(2 2 0), 2θ 29.97, d 2.982, I 100
(2 2 2), 2θ 49.70, d 1.835, I 33
(0 4 2), 2θ 59.80, d 1.546, I 28
(2 2 -2), 2θ 35.08, d 2.558, I 19
(0 4 0), 2θ 50.45, d 1.809, I 17
(6 2 0), 2θ 58.45, d 1.579, I 15
(1 1 0), 2θ 14.86, d 5.963, I 12
(4 0 0), 2θ 34.06, d 2.632, I 12
(4 4 0), 2θ 62.28, d 1.491, I 9
(0 2 1), 2θ 28.87, d 3.093, I 5

***

# 7
Starting from the GGA-PBE geometry in Alexandria, the powder X-ray diffraction pattern of Hf2Os was simulated for Cu Kα, 1.54184 Å.

Structural model:
abc: 12.332 12.332 12.332
angles: 90.00 90.00 90.00
Space group Fd-3m (No. 227, origin choice 2)
Asymmetric unit:
Hf  0.000  0.000  0.000
Hf  0.064  0.375  0.875
Os  0.035  0.035  0.215

Principal peaks in the range 2θ from 10° to 80°, most intense first:
(3 3 3), 2θ 37.91, d 2.373, I 100
(6 6 0), 2θ 64.07, d 1.453, I 32
(4 4 0), 2θ 41.42, d 2.180, I 31
(4 2 2), 2θ 35.67, d 2.517, I 29
(9 3 3), 2θ 76.93, d 1.239, I 18
(5 5 5), 2θ 65.56, d 1.424, I 10
(3 3 1), 2θ 31.63, d 2.829, I 9
(5 5 3), 2θ 57.39, d 1.605, I 8
(4 4 2), 2θ 44.06, d 2.055, I 8
(8 4 2), 2θ 69.91, d 1.346, I 7

***

# 8
Starting from the GGA-PBE geometry in Alexandria, the powder X-ray diffraction pattern of Hf3Os was simulated for Cu Kα, 1.54184 Å.

Structural model:
abc: 10.885 10.885 5.448
angles: 90.00 90.00 90.00
Space group P4_2/nbc (No. 133, origin choice 2)
Asymmetric unit:
Hf  0.041  0.041  0.250
Hf  0.103  0.750  0.000
Hf  0.154  0.154  0.750
Os  0.040  0.750  0.500

Principal peaks in the range 2θ from 10° to 80°, most intense first:
(3 3 0), 2θ 34.96, d 2.567, I 100
(2 2 2), 2θ 40.58, d 2.223, I 86
(3 2 1), 2θ 33.95, d 2.641, I 68
(4 2 0), 2θ 36.92, d 2.435, I 60
(4 1 1), 2θ 37.87, d 2.376, I 46
(5 1 0), 2θ 42.33, d 2.135, I 39
(6 0 2), 2θ 61.40, d 1.510, I 25
(5 5 2), 2θ 70.23, d 1.340, I 21
(6 1 1), 2θ 53.93, d 1.700, I 18
(6 4 1), 2θ 63.99, d 1.455, I 16

***

# 9
Starting from the GGA-PBE geometry in Alexandria, the powder X-ray diffraction pattern of HfOs5 was simulated for Cu Kα, 1.54184 Å.

Structural model:
abc: 3.917 12.111 3.914
angles: 90.00 90.00 90.00
Space group Cmmm (No. 65)
Asymmetric unit:
Hf  0.000  0.000  0.000
Os  0.000  0.177  0.500
Os  0.000  0.321  0.000
Os  0.000  0.500  0.500

Principal peaks in the range 2θ from 10° to 80°, most intense first:
(1 3 1), 2θ 39.46, d 2.283, I 100
(2 0 0), 2θ 46.38, d 1.958, I 33
(2 6 0), 2θ 66.54, d 1.405, I 20
(0 6 0), 2θ 44.91, d 2.018, I 16
(1 9 1), 2θ 79.13, d 1.210, I 11
(2 0 2), 2θ 67.68, d 1.384, I 11
(1 7 1), 2θ 63.39, d 1.467, I 2
(0 2 0), 2θ 14.63, d 6.055, I 2
(1 5 1), 2θ 50.03, d 1.823, I 2
(0 4 0), 2θ 29.50, d 3.028, I 2

***

# 10
Starting from the GGA-PBE geometry in Alexandria, the powder X-ray diffraction pattern of HfReOs was simulated for Cu Kα, 1.54184 Å.

Structural model:
abc: 9.651 4.280 6.725
angles: 90.00 129.65 90.00
Space group C2/m (No. 12)
Asymmetric unit:
Hf  0.063  0.000  0.313
Re  0.157  0.500  0.075
Os  0.165  0.500  0.707

Principal peaks in the range 2θ from 10° to 80°, most intense first:
(0 2 0), 2θ 42.19, d 2.142, I 100
(1 1 -2), 2θ 35.40, d 2.536, I 83
(1 1 1), 2θ 33.92, d 2.643, I 41
(3 1 -2), 2θ 36.81, d 2.441, I 26
(4 0 -3), 2θ 43.14, d 2.097, I 22
(7 1 -3), 2θ 71.96, d 1.312, I 20
(4 0 -2), 2θ 37.47, d 2.400, I 19
(1 1 3), 2θ 66.65, d 1.403, I 17
(4 2 -3), 2θ 61.96, d 1.498, I 15
(3 1 -5), 2θ 77.03, d 1.238, I 12

***

# 11
Starting from the GGA-PBE geometry in Alexandria, the powder X-ray diffraction pattern of HfTiReOs was simulated for Cu Kα, 1.54184 Å.

Structural model:
abc: 3.181 3.181 6.402
angles: 90.00 90.00 90.00
Space group P4mm (No. 99)
Asymmetric unit:
Hf  0.000  0.000  0.000
Ti  0.000  0.000  0.499
Re  0.500  0.500  0.736
Os  0.500  0.500  0.260

Principal peaks in the range 2θ from 10° to 80°, most intense first:
(1 0 2), 2θ 39.96, d 2.256, I 100
(1 1 0), 2θ 40.09, d 2.249, I 50
(2 1 2), 2θ 72.75, d 1.300, I 34
(2 0 0), 2θ 57.99, d 1.590, I 17
(1 1 4), 2θ 72.48, d 1.304, I 17
(1 0 1), 2θ 31.40, d 2.849, I 13
(0 0 1), 2θ 13.83, d 6.402, I 9
(0 0 4), 2θ 57.59, d 1.601, I 8
(1 0 0), 2θ 28.05, d 3.181, I 8
(1 1 3), 2θ 59.73, d 1.548, I 4

***

# 12
Starting from the GGA-PBE geometry in Alexandria, the powder X-ray diffraction pattern of HfOs2Ru2 was simulated for Cu Kα, 1.54184 Å.

Structural model:
abc: 7.492 7.492 2.803
angles: 90.00 90.00 90.00
Space group P4/mbm (No. 127)
Asymmetric unit:
Hf  0.000  0.000  0.000
Os  0.174  0.326  0.500
Ru  0.122  0.622  0.000

Principal peaks in the range 2θ from 10° to 80°, most intense first:
(2 1 1), 2θ 42.03, d 2.150, I 100
(3 1 0), 2θ 37.98, d 2.369, I 77
(2 0 1), 2θ 40.18, d 2.244, I 53
(2 2 0), 2θ 33.84, d 2.649, I 24
(5 1 1), 2θ 72.66, d 1.301, I 19
(3 3 1), 2θ 62.13, d 1.494, I 19
(4 1 1), 2θ 60.75, d 1.525, I 18
(4 1 0), 2θ 50.21, d 1.817, I 18
(3 1 2), 2θ 79.46, d 1.206, I 18
(2 1 0), 2θ 26.60, d 3.350, I 15

***

What is the formula in the twelfth record? HfOs2Ru2